Record 1
Diffraction record for Cs4Ac3DyTe8. The powder XRD pattern is computed, not measured: it uses a structure optimized by DFT (PBE) and Cu Ka.
Lines closer than 0.1° are merged.

Cell and atoms:
a = 9.6427 Å, b = 9.6427 Å, c = 26.9429 Å
α = 90.00°, β = 90.00°, γ = 120.00°
Space group R-3m (No. 166, hexagonal axes)
Unique sites:
Cs 0.0000 0.0000 0.0000 (multiplicity 3)
Cs 0.0000 0.5000 0.0000 (multiplicity 9)
Ac 0.0000 0.5000 0.5000 (multiplicity 9)
Dy 0.0000 0.0000 0.5000 (multiplicity 3)
Te 0.0000 0.0000 0.2349 (multiplicity 6)
Te 0.0168 0.5084 0.2320 (multiplicity 18)

The 10 most intense peaks (2θ = 10–90°), in order of falling intensity:
| (hkl) | two_theta | intensity |
| --- | --- | --- |
| 0 2 4 | 25.09 | 100.0 |
| 2 2 0 | 37.30 | 37.8 |
| 2 0 8 | 34.21 | 35.1 |
| 4 0 4 | 45.49 | 19.8 |
| 2 4 4 | 60.23 | 16.9 |
| 2 2 12 | 55.97 | 11.5 |
| 0 4 8 | 51.50 | 10.9 |
| 0 2 7 | 31.62 | 10.6 |
| 4 2 8 | 65.29 | 10.5 |
| 2 0 11 | 42.80 | 7.2 |

Record 2
Diffraction record for Cs4AcDy3Te8. The powder XRD pattern is computed, not measured: it uses a structure optimized by DFT (PBE) and Cu Ka.
Lines closer than 0.1° are merged.

Cell and atoms:
a = 9.2954 Å, b = 9.2954 Å, c = 26.8198 Å
α = 90.00°, β = 90.00°, γ = 120.00°
Space group R-3m (No. 166, hexagonal axes)
Unique sites:
Cs 0.0000 0.0000 0.0000 (multiplicity 3)
Cs 0.0000 0.5000 0.0000 (multiplicity 9)
Ac 0.0000 0.0000 0.5000 (multiplicity 3)
Dy 0.0000 0.5000 0.5000 (multiplicity 9)
Te 0.0000 0.0000 0.2291 (multiplicity 6)
Te 0.0166 0.5083 0.7688 (multiplicity 18)

The 10 most intense peaks (2θ = 10–90°), in order of falling intensity:
| (hkl) | two_theta | intensity |
| --- | --- | --- |
| 0 2 4 | 25.82 | 100.0 |
| 2 2 0 | 38.75 | 37.2 |
| 2 0 8 | 34.83 | 33.4 |
| 4 0 4 | 47.15 | 19.1 |
| 2 4 4 | 62.61 | 15.9 |
| 0 2 7 | 32.26 | 11.1 |
| 2 2 12 | 57.19 | 10.8 |
| 0 4 8 | 53.08 | 10.0 |
| 0 0 12 | 40.39 | 9.4 |
| 4 2 8 | 67.63 | 9.2 |

Record 3
Diffraction record for Cs3Ac3ErTe8. The powder XRD pattern is computed, not measured: it uses a structure optimized by DFT (PBE) and Cu Ka.
Lines closer than 0.1° are merged.

Cell and atoms:
a = 16.5631 Å, b = 9.5493 Å, c = 10.7024 Å
α = 90.00°, β = 121.11°, γ = 90.00°
Space group C2/m (No. 12)
Unique sites:
Cs 0.0000 0.0000 0.0000 (multiplicity 2)
Cs 0.2500 0.2500 0.0000 (multiplicity 4)
Ac 0.0000 0.5000 0.5000 (multiplicity 2)
Ac 0.2500 0.2500 0.5000 (multiplicity 4)
Er 0.0000 0.0000 0.5000 (multiplicity 2)
Te 0.0145 0.2338 0.3097 (multiplicity 8)
Te 0.2193 0.0000 0.6903 (multiplicity 4)
Te 0.2348 0.5000 0.7043 (multiplicity 4)

The 10 most intense peaks (2θ = 10–90°), in order of falling intensity:
| (hkl) | two_theta | intensity |
| --- | --- | --- |
| 4 0 0 | 25.12 | 100.0 |
| 0 4 0 | 37.65 | 37.4 |
| 2 2 2 | 33.91 | 34.6 |
| 4 4 0 | 45.80 | 19.2 |
| 4 0 1 | 31.41 | 18.5 |
| 8 0 0 | 51.55 | 15.8 |
| 10 2 -2 | 60.70 | 12.8 |
| 6 2 2 | 55.59 | 11.7 |
| 2 2 3 | 42.25 | 10.9 |
| 0 0 4 | 39.34 | 9.7 |